No. 1
Calculated X-ray diffraction stick pattern
Compound: NbAuSeO
Radiation: Cu Ka
Structure: a cell relaxed with GGA-PBE

Principal peaks in the range 15° ≤ 2θ ≤ 90°, low angle first:
Position (°2θ)  intensity  h k l
15.9  100  1 0 0
18.3  27  1 0 1
23.4  54  1 1 0
25.0  31  1 1 1
34.9  30  0 0 4
35.0  50  1 1 -3
35.4  91  1 1 3
37.5  27  2 1 -1
37.8  28  2 1 1
42.2  46  1 2 2

Structural model:
a = 5.567 Å, b = 5.225 Å, c = 10.290 Å
α = 90.00°, β = 90.98°, γ = 90.00°
Space group P2_1 (No. 4)
Symmetry-distinct sites (fractional):
1 Nb 0.009 0.000 0.077 [2 per cell]
2 Nb 0.490 0.528 0.111 [2 per cell]
3 Au 0.031 0.540 0.240 [2 per cell]
4 Au 0.094 0.264 0.495 [2 per cell]
5 Se 0.295 0.353 0.722 [2 per cell]
6 Se 0.305 0.172 0.278 [2 per cell]
7 O 0.265 0.259 0.001 [2 per cell]
8 O 0.288 0.758 0.982 [2 per cell]

No. 2
Calculated X-ray diffraction stick pattern
Compound: NbAuSeO
Radiation: Cu Ka
Structure: a cell relaxed with GGA-PBE

Principal peaks in the range 15° ≤ 2θ ≤ 90°, low angle first:
Position (°2θ)  intensity  h k l
18.9  55  0 1 1
20.6  59  0 2 0
26.1  73  0 2 1
29.1  94  1 1 0
31.9  42  0 0 2
33.2  76  1 1 1
41.8  99  1 3 0
42.3  87  1 0 2
45.2  100  0 3 2
74.6  45  2 3 2

Structural model:
a = 3.290 Å, b = 8.607 Å, c = 5.617 Å
α = 90.00°, β = 90.00°, γ = 90.00°
Space group Pmc2_1 (No. 26)
Symmetry-distinct sites (fractional):
1 Nb 0.000 0.151 0.000 [2 per cell]
2 Au 0.500 0.330 0.687 [2 per cell]
3 Se 0.500 0.337 0.216 [2 per cell]
4 O 0.000 0.011 0.715 [2 per cell]

No. 3
Calculated X-ray diffraction stick pattern
Compound: NdAu6
Radiation: Cu Ka
Structure: a cell relaxed with GGA-PBE

Principal peaks in the range 15° ≤ 2θ ≤ 90°, low angle first:
Position (°2θ)  intensity  h k l
35.4  50  2 2 1
35.9  60  1 1 3
36.1  80  2 2 -2
36.5  74  1 3 0
38.4  100  1 3 1
38.9  93  3 1 -2
39.9  93  0 0 4
40.7  74  2 2 2
41.7  56  2 2 -3
67.8  47  4 4 -1

Structural model:
a = 7.830 Å, b = 7.805 Å, c = 9.168 Å
α = 90.00°, β = 100.34°, γ = 90.00°
Space group C2/c (No. 15)
Symmetry-distinct sites (fractional):
1 Nd 0.000 0.185 0.250 [4 per cell]
2 Au 0.099 0.444 0.637 [8 per cell]
3 Au 0.147 0.189 0.873 [8 per cell]
4 Au 0.196 0.083 0.580 [8 per cell]

Question: Which formula does entry 2 have?
Answer: NbAuSeO